This entry pairs a crystal structure of Dy4SnTe4 with its simulated powder XRD pattern. Radiation: CuKα. Structure: a DFT-relaxed cell (PBE, Alexandria).
No peak broadening, texture or thermal motion is included.

Atomic structure:
abc: 14.624 4.352 10.779
angles: 90.00 120.22 90.00
Space group C2/m (No. 12)
Inequivalent atoms, fractional coordinates:
Dy 0.096 0.000 0.400 (multiplicity 4)
Dy 0.198 0.500 0.801 (multiplicity 4)
Sn 0.000 0.500 0.500 (multiplicity 2)
Te 0.102 0.000 0.902 (multiplicity 4)
Te 0.197 0.500 0.298 (multiplicity 4)

Largest 10 diffraction maxima, most intense first, 10° ≤ 2θ ≤ 90°:
2θ = 28.79°, 3.101 Å, I = 100, (3 1 -2)
2θ = 41.30°, 2.186 Å, I = 75, (1 1 -4)
2θ = 28.98°, 3.081 Å, I = 49, (2 0 2)
2θ = 67.97°, 1.379 Å, I = 26, (1 1 6)
2θ = 50.83°, 1.796 Å, I = 20, (4 0 -6)
2θ = 51.41°, 1.777 Å, I = 20, (2 2 2)
2θ = 40.82°, 2.211 Å, I = 19, (6 0 -4)
2θ = 75.60°, 1.258 Å, I = 19, (1 3 -4)
2θ = 41.50°, 2.176 Å, I = 19, (0 2 0)
2θ = 67.64°, 1.385 Å, I = 17, (4 2 -6)